Diffraction record for UTlAgS3. The powder diffractogram is computed, not measured: it uses DFT lattice parameters and positions (GGA-PBE) and copper Kα.
No peak broadening, texture or thermal motion is included.

Cell lengths 8.732, 4.063, 9.242 Å; angles 90.00, 105.98, 90.00 degrees
Sites, in units of the cell vectors:
U: 0.176 0.250 0.152
U: 0.824 0.750 0.848
Tl: 0.287 0.750 0.743
Tl: 0.713 0.250 0.257
Ag: 0.427 0.750 0.395
Ag: 0.573 0.250 0.605
S: 0.035 0.250 0.850
S: 0.264 0.250 0.451
S: 0.366 0.750 0.112
S: 0.634 0.250 0.888
S: 0.736 0.750 0.549
S: 0.965 0.750 0.150

Principal peaks in the range 15° ≤ 2θ ≤ 90°, sorted by position:
d 4.197, rel. 40
d 3.695, rel. 70
d 3.583, rel. 72
d 3.000, rel. 38
d 2.946, rel. 100
d 2.919, rel. 85
d 2.579, rel. 47
d 2.450, rel. 59
d 2.032, rel. 48
d 1.879, rel. 37



Diffraction record for LiHg3Pd. The powder diffractogram is computed, not measured: it uses DFT lattice parameters and positions (GGA-PBE) and copper Kα.
No peak broadening, texture or thermal motion is included.

Cell lengths 9.748, 9.748, 4.684 Å; angles 103.85, 103.85, 92.56 degrees
Sites, in units of the cell vectors:
Li: 0.169 0.325 0.498
Li: 0.325 0.169 0.998
Li: 0.675 0.831 0.002
Li: 0.831 0.675 0.502
Hg: 0.043 0.220 0.881
Hg: 0.127 0.613 0.619
Hg: 0.220 0.043 0.381
Hg: 0.298 0.461 0.130
Hg: 0.387 0.873 0.881
Hg: 0.461 0.298 0.630
Hg: 0.539 0.702 0.370
Hg: 0.613 0.127 0.119
Hg: 0.702 0.539 0.870
Hg: 0.780 0.957 0.619
Hg: 0.873 0.387 0.381
Hg: 0.957 0.780 0.119
Pd: 0.084 0.916 0.750
Pd: 0.250 0.750 0.250
Pd: 0.750 0.250 0.750
Pd: 0.916 0.084 0.250

Principal peaks in the range 15° ≤ 2θ ≤ 90°, sorted by position:
d 3.316, rel. 63
d 3.160, rel. 28
d 2.348, rel. 27
d 2.342, rel. 28
d 2.288, rel. 100
d 1.884, rel. 20
d 1.658, rel. 19
d 1.344, rel. 18
d 1.341, rel. 19
d 1.311, rel. 12



Diffraction record for Ce2DyP3Rh4. The powder diffractogram is computed, not measured: it uses DFT lattice parameters and positions (GGA-PBE) and copper Kα.
No peak broadening, texture or thermal motion is included.

Cell lengths 3.995, 3.995, 11.305 Å; angles 90.00, 90.00, 90.00 degrees
Sites, in units of the cell vectors:
Ce: 0.000 0.500 0.225
Ce: 0.500 0.000 0.775
Dy: 0.000 0.000 0.500
P: 0.000 0.500 0.878
P: 0.500 0.000 0.122
P: 0.500 0.500 0.500
Rh: 0.000 0.000 0.000
Rh: 0.000 0.500 0.671
Rh: 0.500 0.000 0.329
Rh: 0.500 0.500 0.000

Principal peaks in the range 15° ≤ 2θ ≤ 90°, sorted by position:
d 3.262, rel. 19
d 2.826, rel. 15
d 2.741, rel. 19
d 2.527, rel. 100
d 2.307, rel. 19
d 1.997, rel. 45
d 1.968, rel. 14
d 1.704, rel. 12
d 1.412, rel. 13
d 1.233, rel. 20



Diffraction record for TlGa3Sb3. The powder diffractogram is computed, not measured: it uses DFT lattice parameters and positions (GGA-PBE) and copper Kα.
No peak broadening, texture or thermal motion is included.

Cell lengths 7.665, 7.665, 7.665 Å; angles 90.00, 90.00, 90.00 degrees
Sites, in units of the cell vectors:
Tl: 0.000 0.000 0.000
Tl: 0.500 0.500 0.500
Ga: 0.000 0.250 0.500
Ga: 0.000 0.750 0.500
Ga: 0.250 0.500 0.000
Ga: 0.500 0.000 0.250
Ga: 0.500 0.000 0.750
Ga: 0.750 0.500 0.000
Sb: 0.000 0.500 0.250
Sb: 0.000 0.500 0.750
Sb: 0.250 0.000 0.500
Sb: 0.500 0.250 0.000
Sb: 0.500 0.750 0.000
Sb: 0.750 0.000 0.500

Principal peaks in the range 15° ≤ 2θ ≤ 90°, sorted by position:
d 3.832, rel. 42
d 3.129, rel. 100
d 2.213, rel. 12
d 2.049, rel. 61
d 1.916, rel. 24
d 1.714, rel. 17
d 1.634, rel. 15
d 1.399, rel. 18
d 1.355, rel. 15
d 1.243, rel. 18



Diffraction record for Np2Ga12Pd. The powder diffractogram is computed, not measured: it uses DFT lattice parameters and positions (GGA-PBE) and copper Kα.
No peak broadening, texture or thermal motion is included.

Cell lengths 6.082, 6.082, 15.471 Å; angles 90.00, 90.00, 90.00 degrees
Sites, in units of the cell vectors:
Np: 0.250 0.750 0.242
Np: 0.250 0.750 0.758
Np: 0.750 0.250 0.242
Np: 0.750 0.250 0.758
Ga: 0.000 0.000 0.091
Ga: 0.000 0.000 0.909
Ga: 0.000 0.500 0.091
Ga: 0.000 0.500 0.909
Ga: 0.081 0.581 0.430
Ga: 0.081 0.919 0.570
Ga: 0.250 0.250 0.189
Ga: 0.250 0.250 0.345
Ga: 0.250 0.250 0.655
Ga: 0.250 0.250 0.811
Ga: 0.419 0.581 0.570
Ga: 0.419 0.919 0.430
Ga: 0.500 0.000 0.091
Ga: 0.500 0.000 0.909
Ga: 0.500 0.500 0.091
Ga: 0.500 0.500 0.909
Ga: 0.581 0.081 0.570
Ga: 0.581 0.419 0.430
Ga: 0.750 0.750 0.189
Ga: 0.750 0.750 0.345
Ga: 0.750 0.750 0.655
Ga: 0.750 0.750 0.811
Ga: 0.919 0.081 0.430
Ga: 0.919 0.419 0.570
Pd: 0.250 0.750 0.000
Pd: 0.750 0.250 0.000

Principal peaks in the range 15° ≤ 2θ ≤ 90°, sorted by position:
d 4.301, rel. 31
d 3.041, rel. 19
d 2.876, rel. 82
d 2.830, rel. 100
d 2.391, rel. 55
d 2.211, rel. 37
d 2.169, rel. 25
d 2.150, rel. 66
d 1.722, rel. 42
d 1.364, rel. 26



Diffraction record for TbSm4Sb5. The powder diffractogram is computed, not measured: it uses DFT lattice parameters and positions (GGA-PBE) and copper Kα.
No peak broadening, texture or thermal motion is included.

Cell lengths 11.786, 11.786, 11.786 Å; angles 158.19, 149.00, 38.23 degrees
Sites, in units of the cell vectors:
Tb: 0.000 0.000 0.000
Sm: 0.199 0.199 0.000
Sm: 0.400 0.400 0.000
Sm: 0.600 0.600 0.000
Sm: 0.801 0.801 0.000
Sb: 0.098 0.598 0.500
Sb: 0.300 0.800 0.500
Sb: 0.500 0.000 0.500
Sb: 0.700 0.200 0.500
Sb: 0.902 0.402 0.500

Principal peaks in the range 15° ≤ 2θ ≤ 90°, sorted by position:
d 3.638, rel. 2
d 3.151, rel. 100
d 2.228, rel. 76
d 1.900, rel. 1
d 1.819, rel. 27
d 1.575, rel. 13
d 1.409, rel. 35
d 1.286, rel. 26
d 1.114, rel. 7
d 1.114, rel. 1



Diffraction record for YCdGa2Au4. The powder diffractogram is computed, not measured: it uses DFT lattice parameters and positions (GGA-PBE) and copper Kα.
No peak broadening, texture or thermal motion is included.

Cell lengths 9.557, 9.557, 9.557 Å; angles 27.20, 27.20, 27.20 degrees
Sites, in units of the cell vectors:
Y: 0.000 0.000 0.000
Cd: 0.500 0.500 0.500
Ga: 0.252 0.252 0.252
Ga: 0.748 0.748 0.748
Au: 0.119 0.119 0.119
Au: 0.391 0.391 0.391
Au: 0.609 0.609 0.609
Au: 0.881 0.881 0.881

Principal peaks in the range 15° ≤ 2θ ≤ 90°, sorted by position:
d 3.390, rel. 30
d 2.581, rel. 96
d 2.248, rel. 100
d 1.758, rel. 8
d 1.695, rel. 27
d 1.577, rel. 10
d 1.353, rel. 25
d 1.298, rel. 20
d 1.266, rel. 10
d 1.124, rel. 9



Diffraction record for AcNd4Ho4. The powder diffractogram is computed, not measured: it uses DFT lattice parameters and positions (GGA-PBE) and copper Kα.
No peak broadening, texture or thermal motion is included.

Cell lengths 6.316, 9.653, 10.928 Å; angles 100.82, 106.71, 96.28 degrees
Sites, in units of the cell vectors:
Ac: 0.249 0.416 0.197
Ac: 0.751 0.584 0.803
Nd: 0.246 0.081 0.970
Nd: 0.248 0.412 0.857
Nd: 0.250 0.755 0.748
Nd: 0.254 0.756 0.419
Nd: 0.746 0.244 0.581
Nd: 0.750 0.245 0.252
Nd: 0.752 0.588 0.143
Nd: 0.754 0.919 0.030
Ho: 0.244 0.414 0.528
Ho: 0.249 0.083 0.636
Ho: 0.250 0.079 0.309
Ho: 0.259 0.757 0.087
Ho: 0.741 0.243 0.913
Ho: 0.750 0.921 0.691
Ho: 0.751 0.917 0.364
Ho: 0.756 0.586 0.472

Principal peaks in the range 15° ≤ 2θ ≤ 90°, sorted by position:
d 2.978, rel. 100
d 2.579, rel. 51
d 1.823, rel. 36
d 1.555, rel. 33
d 1.553, rel. 7
d 1.489, rel. 6
d 1.184, rel. 6
d 1.183, rel. 7
d 1.154, rel. 7
d 1.153, rel. 7



Diffraction record for Y5Cd4Pb. The powder diffractogram is computed, not measured: it uses DFT lattice parameters and positions (GGA-PBE) and copper Kα.
No peak broadening, texture or thermal motion is included.

Cell lengths 3.770, 3.770, 18.828 Å; angles 90.00, 90.00, 90.00 degrees
Sites, in units of the cell vectors:
Y: 0.000 0.000 0.000
Y: 0.000 0.000 0.198
Y: 0.000 0.000 0.394
Y: 0.000 0.000 0.606
Y: 0.000 0.000 0.802
Cd: 0.500 0.500 0.100
Cd: 0.500 0.500 0.293
Cd: 0.500 0.500 0.707
Cd: 0.500 0.500 0.900
Pb: 0.500 0.500 0.500

Principal peaks in the range 15° ≤ 2θ ≤ 90°, sorted by position:
d 3.769, rel. 4
d 2.943, rel. 2
d 2.665, rel. 100
d 2.176, rel. 1
d 1.884, rel. 18
d 1.685, rel. 2
d 1.539, rel. 35
d 1.332, rel. 11
d 1.192, rel. 10
d 1.191, rel. 5



Diffraction record for Ni3RuC. The powder diffractogram is computed, not measured: it uses DFT lattice parameters and positions (GGA-PBE) and copper Kα.
No peak broadening, texture or thermal motion is included.

Cell lengths 3.782, 3.782, 3.782 Å; angles 90.00, 90.00, 90.00 degrees
Sites, in units of the cell vectors:
Ni: 0.000 0.000 0.500
Ni: 0.000 0.500 0.000
Ni: 0.500 0.000 0.000
Ru: 0.500 0.500 0.500
C: 0.000 0.000 0.000

Principal peaks in the range 15° ≤ 2θ ≤ 90°, sorted by position:
d 3.782, rel. 3
d 2.674, rel. 8
d 2.183, rel. 100
d 1.891, rel. 54
d 1.691, rel. 2
d 1.544, rel. 3
d 1.337, rel. 32
d 1.196, rel. 1
d 1.140, rel. 34
d 1.092, rel. 11



Diffraction record for Li2CaOs. The powder diffractogram is computed, not measured: it uses DFT lattice parameters and positions (GGA-PBE) and copper Kα.
No peak broadening, texture or thermal motion is included.

Cell lengths 5.715, 8.650, 2.745 Å; angles 90.00, 90.00, 90.00 degrees
Sites, in units of the cell vectors:
Li: 0.250 0.250 0.000
Li: 0.250 0.750 0.000
Li: 0.750 0.250 0.000
Li: 0.750 0.750 0.000
Ca: 0.000 0.000 0.500
Ca: 0.500 0.500 0.500
Os: 0.000 0.500 0.500
Os: 0.500 0.000 0.500

Principal peaks in the range 15° ≤ 2θ ≤ 90°, sorted by position:
d 4.768, rel. 100
d 4.325, rel. 96
d 2.857, rel. 34
d 2.745, rel. 30
d 2.574, rel. 22
d 2.382, rel. 85
d 2.318, rel. 45
d 1.980, rel. 28
d 1.800, rel. 35
d 1.460, rel. 21



Diffraction record for SmZn4Ru. The powder diffractogram is computed, not measured: it uses DFT lattice parameters and positions (GGA-PBE) and copper Kα.
No peak broadening, texture or thermal motion is included.

Cell lengths 7.892, 4.025, 6.874 Å; angles 90.00, 90.00, 90.00 degrees
Sites, in units of the cell vectors:
Sm: 0.250 0.000 0.113
Sm: 0.750 0.000 0.887
Zn: 0.000 0.000 0.500
Zn: 0.053 0.500 0.806
Zn: 0.250 0.500 0.465
Zn: 0.447 0.500 0.806
Zn: 0.500 0.000 0.500
Zn: 0.553 0.500 0.194
Zn: 0.750 0.500 0.535
Zn: 0.947 0.500 0.194
Ru: 0.250 0.000 0.719
Ru: 0.750 0.000 0.281

Principal peaks in the range 15° ≤ 2θ ≤ 90°, sorted by position:
d 3.946, rel. 19
d 2.818, rel. 40
d 2.607, rel. 100
d 2.481, rel. 70
d 2.200, rel. 32
d 2.179, rel. 68
d 2.089, rel. 19
d 2.012, rel. 45
d 1.973, rel. 27
d 1.300, rel. 19



Repeat the fourth record exactly.
Diffraction record for TlGa3Sb3. The powder diffractogram is computed, not measured: it uses DFT lattice parameters and positions (GGA-PBE) and copper Kα.
No peak broadening, texture or thermal motion is included.

Cell lengths 7.665, 7.665, 7.665 Å; angles 90.00, 90.00, 90.00 degrees
Sites, in units of the cell vectors:
Tl: 0.000 0.000 0.000
Tl: 0.500 0.500 0.500
Ga: 0.000 0.250 0.500
Ga: 0.000 0.750 0.500
Ga: 0.250 0.500 0.000
Ga: 0.500 0.000 0.250
Ga: 0.500 0.000 0.750
Ga: 0.750 0.500 0.000
Sb: 0.000 0.500 0.250
Sb: 0.000 0.500 0.750
Sb: 0.250 0.000 0.500
Sb: 0.500 0.250 0.000
Sb: 0.500 0.750 0.000
Sb: 0.750 0.000 0.500

Principal peaks in the range 15° ≤ 2θ ≤ 90°, sorted by position:
d 3.832, rel. 42
d 3.129, rel. 100
d 2.213, rel. 12
d 2.049, rel. 61
d 1.916, rel. 24
d 1.714, rel. 17
d 1.634, rel. 15
d 1.399, rel. 18
d 1.355, rel. 15
d 1.243, rel. 18



Please write out number 9 again, unchanged.
Diffraction record for Y5Cd4Pb. The powder diffractogram is computed, not measured: it uses DFT lattice parameters and positions (GGA-PBE) and copper Kα.
No peak broadening, texture or thermal motion is included.

Cell lengths 3.770, 3.770, 18.828 Å; angles 90.00, 90.00, 90.00 degrees
Sites, in units of the cell vectors:
Y: 0.000 0.000 0.000
Y: 0.000 0.000 0.198
Y: 0.000 0.000 0.394
Y: 0.000 0.000 0.606
Y: 0.000 0.000 0.802
Cd: 0.500 0.500 0.100
Cd: 0.500 0.500 0.293
Cd: 0.500 0.500 0.707
Cd: 0.500 0.500 0.900
Pb: 0.500 0.500 0.500

Principal peaks in the range 15° ≤ 2θ ≤ 90°, sorted by position:
d 3.769, rel. 4
d 2.943, rel. 2
d 2.665, rel. 100
d 2.176, rel. 1
d 1.884, rel. 18
d 1.685, rel. 2
d 1.539, rel. 35
d 1.332, rel. 11
d 1.192, rel. 10
d 1.191, rel. 5